Structure and calculated PXRD pattern of RbInAuO (a DFT-relaxed cell (GGA-PBE, OQMD); λ = 1.5418 Å (Cu Kα)).

Structure:
a b c (Å): 4.801 13.664 7.195
angles (deg): 90.00 90.00 90.00
Fractional coordinates of all 16 atoms:
Rb 0.000 0.149 0.000
Rb 0.000 0.851 0.000
Rb 0.500 0.351 0.000
Rb 0.500 0.649 0.000
In 0.000 0.393 0.581
In 0.000 0.607 0.581
In 0.500 0.107 0.581
In 0.500 0.893 0.581
Au 0.000 0.193 0.461
Au 0.000 0.807 0.461
Au 0.500 0.307 0.461
Au 0.500 0.693 0.461
O 0.000 0.360 0.850
O 0.000 0.640 0.850
O 0.500 0.140 0.850
O 0.500 0.860 0.850

Largest 10 diffraction maxima, low angle first, 10 to 90 degrees two-theta:
12.30 deg, rel. 100, (0 0 1); 12.96 deg, rel. 53, (0 2 0); 17.90 deg, rel. 24, (0 2 1); 24.75 deg, rel. 55, (0 0 2); 26.98 deg, rel. 31, (1 3 0); 28.03 deg, rel. 23, (0 2 2); 36.94 deg, rel. 45, (1 3 2); 37.47 deg, rel. 34, (2 0 0); 37.88 deg, rel. 34, (1 5 0); 39.98 deg, rel. 51, (1 5 1)